# Cs2UHgS6
Simulated powder X-ray diffraction pattern, Cu Kα (λ = 1.5418 Å). Input: a structure optimized by DFT (PBE).
Neutral-atom scattering factors, no anomalous dispersion.

Peak list (10 most intense, 2θ from 10° to 90°, in order of rising 2θ)
15.97°, I 18; 22.66°, I 57; 23.89°, I 100; 32.26°, I 47; 35.73°, I 18; 40.54°, I 50; 42.73°, I 22; 46.27°, I 16; 48.90°, I 28; 67.47°, I 17

```
Cs2UHgS6
1.0
-3.9241 3.9241 5.0261
3.9241 -3.9241 5.0261
3.9241 3.9241 -5.0261
Cs U Hg S
2 1 1 6
Direct
0.2500 0.7500 0.5000
0.7500 0.2500 0.5000
0.0000 0.0000 0.0000
0.5000 0.5000 0.0000
0.2251 0.2251 0.4502
0.2251 0.7749 0.0000
0.2574 0.2574 0.0000
0.7426 0.7426 0.0000
0.7749 0.2251 0.0000
0.7749 0.7749 0.5498
```

# Li5Ca3Tl
Simulated powder X-ray diffraction pattern, Cu Kα (λ = 1.5418 Å). Input: a structure optimized by DFT (PBE).
Neutral-atom scattering factors, no anomalous dispersion.

Peak list (10 most intense, 2θ from 10° to 90°, in order of rising 2θ)
13.23°, I 100; 18.46°, I 54; 22.77°, I 57; 23.01°, I 29; 26.63°, I 57; 29.66°, I 30; 32.60°, I 77; 35.48°, I 23; 40.28°, I 39; 46.51°, I 24

```
Li5Ca3Tl
1.0
7.7292 0.0000 0.0000
-3.8646 6.6937 0.0000
0.0000 0.0000 4.8076
Li Ca Tl
5 3 1
Direct
0.0000 0.7721 0.0000
0.2279 0.2279 0.0000
0.3333 0.6667 0.0000
0.6667 0.3333 0.0000
0.7721 0.0000 0.0000
0.0000 0.4200 0.5000
0.4200 0.0000 0.5000
0.5800 0.5800 0.5000
0.0000 0.0000 0.5000
```

# Li2Ag4Au3
Simulated powder X-ray diffraction pattern, Cu Kα (λ = 1.5418 Å). Input: a structure optimized by DFT (PBE).
Neutral-atom scattering factors, no anomalous dispersion.

Peak list (10 most intense, 2θ from 10° to 90°, in order of rising 2θ)
23.05°, I 30; 24.35°, I 19; 31.62°, I 18; 38.04°, I 100; 38.21°, I 98; 43.61°, I 34; 44.36°, I 33; 44.96°, I 29; 63.96°, I 21; 65.00°, I 20

```
Li2Ag4Au3
1.0
6.2264 -2.0422 0.0000
6.2264 2.0422 0.0000
-2.1151 0.0000 6.0486
Li Ag Au
2 4 3
Direct
0.1608 0.1608 0.4960
0.8392 0.8392 0.5040
0.0555 0.0555 0.8355
0.2785 0.2785 0.1713
0.7215 0.7215 0.8287
0.9445 0.9445 0.1645
0.3807 0.3807 0.8098
0.5000 0.5000 0.5000
0.6193 0.6193 0.1902
```

# Tm3PuIn
Simulated powder X-ray diffraction pattern, Cu Kα (λ = 1.5418 Å). Input: a structure optimized by DFT (PBE).
Neutral-atom scattering factors, no anomalous dispersion.

Peak list (10 most intense, 2θ from 10° to 90°, in order of rising 2θ)
32.30°, I 69; 32.64°, I 100; 33.08°, I 28; 34.72°, I 46; 36.54°, I 23; 41.48°, I 16; 51.29°, I 18; 60.71°, I 15; 60.93°, I 17; 68.40°, I 15

```
Tm3PuIn
1.0
8.1196 -2.5835 0.0000
8.1196 2.5835 0.0000
-0.5429 0.0000 6.5945
Tm Pu In
6 2 2
Direct
0.0044 0.0044 0.2524
0.2071 0.2071 0.8040
0.3868 0.3868 0.5039
0.6132 0.6132 0.4961
0.7929 0.7929 0.1960
0.9956 0.9956 0.7476
0.4107 0.4107 0.0201
0.5893 0.5893 0.9799
0.1962 0.1962 0.2862
0.8038 0.8038 0.7138
```